# 1
Mo12P: simulated powder diffraction line list (copper Kα), based on a crystal structure in the Materials Project, relaxed with PBE.
Kinematic intensities with the Lorentz-polarization factor, no thermal factor.

Peak list (10 most intense, 10 to 90 degrees two-theta, low angle first)
2θ (°), I (rel.)
29.71, 11
37.01, 38
39.19, 100
44.93, 65
63.93, 17
66.90, 18
76.23, 8
79.00, 18
80.37, 8
84.25, 7

Structural model:
a b c (Å): 10.0851 10.0851 14.5766
angles (deg): 90.00 90.00 120.00
Space group R3 (No. 146, hexagonal axes)
Unique sites:
Mo 0.0358 0.4375 0.0000 [9 per cell]
Mo 0.0419 0.4446 0.5146 [9 per cell]
Mo 0.0423 0.8666 0.1778 [9 per cell]
Mo 0.0656 0.8542 0.6901 [9 per cell]
Mo 0.0975 0.7181 0.0093 [9 per cell]
Mo 0.1165 0.7438 0.5163 [9 per cell]
Mo 0.1727 0.0236 0.0271 [9 per cell]
Mo 0.1902 0.4674 0.1548 [9 per cell]
P 0.0000 0.0000 0.5921 [3 per cell]
P 0.0000 0.0000 0.8842 [3 per cell]



# 2
Mo12P: simulated powder diffraction line list (copper Kα), based on a crystal structure in the Materials Project, relaxed with PBE.
Kinematic intensities with the Lorentz-polarization factor, no thermal factor.

Peak list (10 most intense, 10 to 90 degrees two-theta, low angle first)
2θ (°), I (rel.)
35.87, 17
36.74, 13
37.25, 11
38.51, 100
39.29, 52
40.01, 31
44.55, 12
44.99, 65
66.06, 15
79.64, 11

Structural model:
a b c (Å): 10.3497 10.3497 13.7588
angles (deg): 90.00 90.00 120.00
Space group R3 (No. 146, hexagonal axes)
Unique sites:
Mo 0.0065 0.6214 0.0000 [9 per cell]
Mo 0.0223 0.1768 0.6575 [9 per cell]
Mo 0.0265 0.8715 0.4887 [9 per cell]
Mo 0.0393 0.5796 0.5065 [9 per cell]
Mo 0.0640 0.4961 0.8337 [9 per cell]
Mo 0.1162 0.3987 0.0067 [9 per cell]
Mo 0.1368 0.3962 0.5051 [9 per cell]
Mo 0.1736 0.1072 0.0182 [9 per cell]
P 0.0000 0.0000 0.1712 [3 per cell]
P 0.0000 0.0000 0.8567 [3 per cell]



# 3
MoP: simulated powder diffraction line list (copper Kα), based on a crystal structure in the Materials Project, relaxed with PBE.
Kinematic intensities with the Lorentz-polarization factor, no thermal factor.

Peak list (10 most intense, 10 to 90 degrees two-theta, low angle first)
2θ (°), I (rel.)
27.88, 18
31.85, 65
42.83, 100
56.74, 26
57.60, 8
64.38, 10
66.56, 7
67.34, 14
73.63, 19
85.17, 17

Structural model:
a b c (Å): 3.2446 3.2446 3.2005
angles (deg): 90.00 90.00 120.00
Space group P-6m2 (No. 187)
Unique sites:
Mo 0.0000 0.0000 0.0000 [1 per cell]
P 0.3333 0.6667 0.5000 [1 per cell]



# 4
MoPRh: simulated powder diffraction line list (copper Kα), based on a crystal structure in the Materials Project, relaxed with PBE.
Kinematic intensities with the Lorentz-polarization factor, no thermal factor.

Peak list (10 most intense, 10 to 90 degrees two-theta, low angle first)
2θ (°), I (rel.)
29.93, 14
37.38, 100
37.68, 53
39.88, 47
41.32, 23
44.95, 23
45.99, 45
47.28, 19
63.52, 16
75.98, 15

Structural model:
a b c (Å): 5.995 3.946 7.039
angles (deg): 90.00 90.00 90.00
Space group Pnma (No. 62)
Unique sites:
Mo 0.032 0.250 0.164 [4 per cell]
P 0.248 0.250 0.886 [4 per cell]
Rh 0.138 0.250 0.573 [4 per cell]



# 5
MoPRu: simulated powder diffraction line list (copper Kα), based on a crystal structure in the Materials Project, relaxed with PBE.
Kinematic intensities with the Lorentz-polarization factor, no thermal factor.

Peak list (10 most intense, 10 to 90 degrees two-theta, low angle first)
2θ (°), I (rel.)
30.12, 12
37.65, 100
39.88, 39
41.60, 19
45.39, 18
46.55, 27
46.94, 16
52.44, 11
76.19, 13
80.38, 11

Structural model:
a b c (Å): 6.045 3.902 6.979
angles (deg): 90.00 90.00 90.00
Space group Pnma (No. 62)
Unique sites:
Mo 0.026 0.250 0.169 [4 per cell]
P 0.244 0.750 0.383 [4 per cell]
Ru 0.141 0.250 0.568 [4 per cell]



# 6
MoPRu: simulated powder diffraction line list (copper Kα), based on a crystal structure in the Materials Project, relaxed with PBE.
Kinematic intensities with the Lorentz-polarization factor, no thermal factor.

Peak list (10 most intense, 10 to 90 degrees two-theta, low angle first)
2θ (°), I (rel.)
29.40, 12
37.56, 100
41.43, 48
45.62, 37
46.67, 24
52.15, 15
67.32, 23
68.69, 13
72.56, 11
83.93, 17

Structural model:
a b c (Å): 6.0755 6.0755 3.8924
angles (deg): 90.00 90.00 120.00
Space group P-62m (No. 189)
Unique sites:
Mo 0.0000 0.4063 0.0000 [3 per cell]
P 0.0000 0.0000 0.0000 [1 per cell]
P 0.3333 0.6667 0.5000 [2 per cell]
Ru 0.0000 0.7390 0.5000 [3 per cell]



# 7
TiMoP2: simulated powder diffraction line list (copper Kα), based on a crystal structure in the Materials Project, relaxed with PBE.
Kinematic intensities with the Lorentz-polarization factor, no thermal factor.

Peak list (10 most intense, 10 to 90 degrees two-theta, low angle first)
2θ (°), I (rel.)
13.58, 23
27.35, 13
31.90, 49
34.81, 31
42.51, 100
56.45, 9
56.84, 28
66.31, 11
73.49, 18
84.28, 18

Structural model:
a b c (Å): 3.2397 3.2397 6.5207
angles (deg): 90.00 90.00 120.00
Space group P-3m1 (No. 164)
Unique sites:
Ti 0.0000 0.0000 0.0000 [1 per cell]
Mo 0.0000 0.0000 0.5000 [1 per cell]
P 0.3333 0.6667 0.7496 [2 per cell]



# 8
UMo13P9: simulated powder diffraction line list (copper Kα), based on a crystal structure in the Materials Project, relaxed with PBE.
Kinematic intensities with the Lorentz-polarization factor, no thermal factor.

Peak list (10 most intense, 10 to 90 degrees two-theta, low angle first)
2θ (°), I (rel.)
28.54, 20
34.30, 34
37.04, 39
38.19, 35
39.52, 100
41.77, 18
44.11, 25
50.31, 23
66.62, 18
76.32, 20

Structural model:
a b c (Å): 10.8837 10.8837 3.3151
angles (deg): 90.00 90.00 120.00
Space group P-6m2 (No. 187)
Unique sites:
U 0.0000 0.0000 0.0000 [1 per cell]
Mo 0.0541 0.3823 0.0000 [6 per cell]
Mo 0.2807 0.1403 0.5000 [3 per cell]
Mo 0.3333 0.6667 0.0000 [1 per cell]
Mo 0.5742 0.1485 0.5000 [3 per cell]
P 0.1272 0.2543 0.5000 [3 per cell]
P 0.1396 0.5698 0.5000 [3 per cell]
P 0.4656 0.2328 0.0000 [3 per cell]



# 9
Pa3Mo: simulated powder diffraction line list (copper Kα), based on a crystal structure in the Materials Project, relaxed with PBE.
Kinematic intensities with the Lorentz-polarization factor, no thermal factor.

Peak list (10 most intense, 10 to 90 degrees two-theta, low angle first)
2θ (°), I (rel.)
23.13, 13
32.22, 34
33.65, 22
37.45, 100
47.28, 17
60.19, 17
60.92, 25
69.93, 22
73.08, 14
77.49, 4

Structural model:
a b c (Å): 6.1500 6.1500 5.5571
angles (deg): 90.00 90.00 120.00
Space group P6_3/mmc (No. 194)
Unique sites:
Pa 0.1740 0.3480 0.2500 [6 per cell]
Mo 0.3333 0.6667 0.7500 [2 per cell]



# 10
Mo6PbSe4S4: simulated powder diffraction line list (copper Kα), based on a crystal structure in the Materials Project, relaxed with PBE.
Kinematic intensities with the Lorentz-polarization factor, no thermal factor.

Peak list (10 most intense, 10 to 90 degrees two-theta, low angle first)
2θ (°), I (rel.)
13.06, 26
18.77, 100
23.01, 28
29.82, 26
29.94, 27
32.81, 43
40.32, 30
40.49, 48
42.35, 29
44.72, 39

Structural model:
a b c (Å): 6.711 6.769 6.817
angles (deg): 88.28 88.67 88.97
Space group P1 (No. 1)
Unique sites:
Mo 0.000 0.000 0.000 [1 per cell]
Mo 0.013 0.194 0.339 [1 per cell]
Mo 0.204 0.337 0.010 [1 per cell]
Mo 0.666 0.179 0.138 [1 per cell]
Mo 0.857 0.323 0.811 [1 per cell]
Mo 0.871 0.522 0.149 [1 per cell]
Pb 0.433 0.768 0.565 [1 per cell]
Se 0.060 0.643 0.819 [1 per cell]
Se 0.197 0.516 0.327 [1 per cell]
Se 0.672 0.000 0.822 [1 per cell]
Se 0.679 0.381 0.454 [1 per cell]
S 0.169 0.146 0.706 [1 per cell]
S 0.306 0.027 0.197 [1 per cell]
S 0.564 0.490 0.955 [1 per cell]
S 0.817 0.889 0.308 [1 per cell]